1.
Theoretical XRD peak list
Compound: La2BiHRh
Radiation: copper Kα
Structure: the PBE geometry in Alexandria

Principal peaks in the range 5 to 70 degrees two-theta, low angle first:
- (1 1 1), 32.67 deg, rel. 100
- (2 0 0), 33.39 deg, rel. 48
- (2 2 0), 47.94 deg, rel. 17
- (2 0 2), 57.84 deg, rel. 20
- (3 1 1), 59.22 deg, rel. 37
- (2 2 2), 68.46 deg, rel. 12

Atomic structure:
a b c (Å): 5.3675 5.3675 3.9629
angles (deg): 90.00 90.00 90.00
Space group P4/mmm (No. 123)
One atom of each set of equivalent atoms:
La1 0.0000 0.5000 0.0000
Bi1 0.0000 0.0000 0.5000
H1 0.5000 0.5000 0.0000
Rh1 0.5000 0.5000 0.5000

2.
Theoretical XRD peak list
Compound: KAsSe2
Radiation: copper Kα
Structure: the PBE geometry in Alexandria

Principal peaks in the range 5 to 70 degrees two-theta, low angle first:
- (0 0 1), 9.44 deg, rel. 93
- (1 1 0), 23.42 deg, rel. 100
- (0 1 2), 25.29 deg, rel. 62
- (1 1 -2), 27.61 deg, rel. 41
- (2 0 1), 36.80 deg, rel. 48
- (1 2 -2), 40.42 deg, rel. 45

Atomic structure:
a b c (Å): 5.5658 5.3427 9.6518
angles (deg): 90.00 104.00 90.00
Space group P2_1 (No. 4)
One atom of each set of equivalent atoms:
K1 0.1278 0.0000 0.3169
As1 0.3201 0.9453 0.8683
Se1 0.2583 0.2952 0.0280
Se2 0.3778 0.1381 0.6606

3.
Theoretical XRD peak list
Compound: AcThGe4
Radiation: copper Kα
Structure: the PBE geometry in Alexandria

Principal peaks in the range 5 to 70 degrees two-theta, low angle first:
- (1 0 3), 26.51 deg, rel. 43
- (1 1 2), 31.94 deg, rel. 100
- (1 0 5), 34.17 deg, rel. 57
- (2 0 0), 43.04 deg, rel. 37
- (1 0 7), 43.43 deg, rel. 30
- (2 1 5), 56.06 deg, rel. 28

Atomic structure:
a b c (Å): 4.2040 4.2040 16.7951
angles (deg): 90.00 90.00 90.00
Space group I-4m2 (No. 119)
One atom of each set of equivalent atoms:
Ac1 0.0000 0.0000 0.0000
Th1 0.0000 0.5000 0.2500
Ge1 0.0000 0.0000 0.4122
Ge2 0.0000 0.5000 0.6731

4.
Theoretical XRD peak list
Compound: Cr3GaS6
Radiation: copper Kα
Structure: the PBE geometry in Alexandria

Principal peaks in the range 5 to 70 degrees two-theta, low angle first:
- (0 2 1), 29.75 deg, rel. 100
- (0 1 5), 29.91 deg, rel. 33
- (0 2 4), 36.12 deg, rel. 91
- (1 2 5), 47.45 deg, rel. 51
- (2 2 0), 51.84 deg, rel. 67
- (2 0 8), 52.17 deg, rel. 63

Atomic structure:
a b c (Å): 7.0544 7.0544 17.1270
angles (deg): 90.00 90.00 120.00
Space group P3m1 (No. 156)
One atom of each set of equivalent atoms:
Cr1 0.0000 0.0000 0.0000
Cr2 0.1697 0.3394 0.8230
Cr3 0.3155 0.1578 0.1562
Cr4 0.3333 0.6667 0.6501
Cr5 0.5056 0.0111 0.4802
Cr6 0.6667 0.3333 0.3384
Ga1 0.0000 0.0000 0.6104
Ga2 0.3333 0.6667 0.2752
Ga3 0.6667 0.3333 0.6954
Ga4 0.6667 0.3333 0.9506
S1 0.0000 0.0000 0.2334
S2 0.0000 0.0000 0.7469
S3 0.0283 0.5142 0.7397
S4 0.1559 0.3118 0.0773
S5 0.1790 0.3580 0.5649
S6 0.3062 0.1531 0.9033
S7 0.3333 0.6667 0.4125
S8 0.3333 0.6667 0.8960
S9 0.3427 0.1713 0.4082
S10 0.5156 0.0312 0.2389
S11 0.6667 0.3333 0.0841
S12 0.6667 0.3333 0.5600

5.
Theoretical XRD peak list
Compound: Ho3MgAl8
Radiation: copper Kα
Structure: the PBE geometry in Alexandria

Principal peaks in the range 5 to 70 degrees two-theta, low angle first:
- (0 0 6), 19.71 deg, rel. 55
- (1 1 0), 32.46 deg, rel. 89
- (1 1 6), 38.26 deg, rel. 100
- (3 0 0), 57.90 deg, rel. 34
- (3 0 6), 61.79 deg, rel. 32
- (2 2 0), 67.97 deg, rel. 21

Atomic structure:
a b c (Å): 5.5148 5.5148 27.0472
angles (deg): 90.00 90.00 120.00
Space group R3m (No. 160, hexagonal axes)
One atom of each set of equivalent atoms:
Ho1 0.0000 0.0000 0.0000
Ho2 0.0000 0.0000 0.1275
Ho3 0.0000 0.0000 0.5044
Mg1 0.0000 0.0000 0.6273
Al1 0.0000 0.0000 0.3140
Al2 0.0000 0.0000 0.8146
Al3 0.0009 0.5005 0.0643
Al4 0.1676 0.3351 0.8974

6.
Theoretical XRD peak list
Compound: Ti3PtN
Radiation: copper Kα
Structure: the PBE geometry in Alexandria

Principal peaks in the range 5 to 70 degrees two-theta, low angle first:
- (0 0 2), 11.73 deg, rel. 76
- (0 0 4), 23.59 deg, rel. 21
- (1 1 2), 31.89 deg, rel. 35
- (1 1 4), 38.15 deg, rel. 100
- (2 0 0), 42.28 deg, rel. 46
- (2 0 8), 66.07 deg, rel. 19

Atomic structure:
a b c (Å): 4.2750 4.2750 15.0858
angles (deg): 90.00 90.00 90.00
Space group I4/mmm (No. 139)
One atom of each set of equivalent atoms:
Ti1 0.0000 0.0000 0.0000
Ti2 0.0000 0.0000 0.5000
Ti3 0.0000 0.5000 0.1342
Pt1 0.0000 0.0000 0.2406
N1 0.0000 0.5000 0.0000

7.
Theoretical XRD peak list
Compound: LiCoTc2
Radiation: copper Kα
Structure: the PBE geometry in Alexandria

Principal peaks in the range 5 to 70 degrees two-theta, low angle first:
- (0 0 1), 19.02 deg, rel. 49
- (2 0 -1), 26.56 deg, rel. 33
- (2 0 -2), 41.95 deg, rel. 97
- (1 1 1), 42.14 deg, rel. 100
- (2 0 2), 46.27 deg, rel. 38
- (3 1 -1), 50.23 deg, rel. 57

Atomic structure:
a b c (Å): 8.6668 2.5606 4.6953
angles (deg): 90.00 96.39 90.00
Space group Cm (No. 8)
One atom of each set of equivalent atoms:
Li1 0.0000 0.0000 0.0000
Co1 0.2469 0.0000 0.7769
Tc1 0.0201 0.5000 0.5133
Tc2 0.2583 0.5000 0.2566

8.
Theoretical XRD peak list
Compound: K3Pm2ErS6
Radiation: copper Kα
Structure: the PBE geometry in Alexandria

Principal peaks in the range 5 to 70 degrees two-theta, low angle first:
- (0 0 1), 11.98 deg, rel. 72
- (1 3 0), 25.30 deg, rel. 25
- (2 0 0), 26.26 deg, rel. 34
- (1 3 1), 29.80 deg, rel. 100
- (2 0 2), 41.28 deg, rel. 35
- (0 6 0), 43.99 deg, rel. 34

Atomic structure:
a b c (Å): 7.1302 12.3502 7.7586
angles (deg): 90.00 107.85 90.00
Space group C2/m (No. 12)
One atom of each set of equivalent atoms:
K1 0.0000 0.0000 0.0000
K2 0.0000 0.3325 0.0000
Pm1 0.0000 0.1666 0.5000
Er1 0.0000 0.5000 0.5000
S1 0.2305 0.3376 0.7041
S2 0.2433 0.0000 0.7040

9.
Theoretical XRD peak list
Compound: Hf4HgTe8
Radiation: copper Kα
Structure: the PBE geometry in Alexandria

Principal peaks in the range 5 to 70 degrees two-theta, low angle first:
- (3 1 -1), 26.24 deg, rel. 51
- (2 0 -4), 27.69 deg, rel. 61
- (3 1 0), 28.39 deg, rel. 100
- (3 1 -3), 29.74 deg, rel. 82
- (5 1 -4), 35.38 deg, rel. 79
- (1 1 4), 44.36 deg, rel. 99

Atomic structure:
a b c (Å): 19.7786 3.9905 13.7364
angles (deg): 90.00 129.29 90.00
Space group Cm (No. 8)
One atom of each set of equivalent atoms:
Hf1 0.0000 0.0000 0.0000
Hf2 0.0133 0.5000 0.3693
Hf3 0.1793 0.0000 0.6824
Hf4 0.1927 0.5000 0.0519
Hg1 0.3469 0.5000 0.5270
Te1 0.0074 0.5000 0.8542
Te2 0.0484 0.5000 0.6065
Te3 0.1442 0.0000 0.4453
Te4 0.1852 0.0000 0.1977
Te5 0.2214 0.0000 0.9327
Te6 0.3107 0.5000 0.7800
Te7 0.3820 0.5000 0.2718
Te8 0.4711 0.0000 0.1190

10.
Theoretical XRD peak list
Compound: Mn7CoSb4
Radiation: copper Kα
Structure: the PBE geometry in Alexandria

Principal peaks in the range 5 to 70 degrees two-theta, low angle first:
- (1 0 2), 26.54 deg, rel. 31
- (0 0 4), 27.91 deg, rel. 18
- (1 1 0), 32.07 deg, rel. 35
- (1 1 2), 35.08 deg, rel. 36
- (1 1 4), 43.02 deg, rel. 100
- (2 0 0), 45.99 deg, rel. 48

Atomic structure:
a b c (Å): 3.9472 3.9472 12.7856
angles (deg): 90.00 90.00 90.00
Space group P-4m2 (No. 115)
One atom of each set of equivalent atoms:
Mn1 0.0000 0.0000 0.0000
Mn2 0.0000 0.0000 0.5000
Mn3 0.0000 0.5000 0.1364
Mn4 0.0000 0.5000 0.6459
Mn5 0.5000 0.5000 0.5000
Co1 0.5000 0.5000 0.0000
Sb1 0.0000 0.5000 0.3550
Sb2 0.0000 0.5000 0.8577

11.
Theoretical XRD peak list
Compound: HoSc2Fe
Radiation: copper Kα
Structure: the PBE geometry in Alexandria

Principal peaks in the range 5 to 70 degrees two-theta, low angle first:
- (0 2 0), 20.73 deg, rel. 57
- (2 1 1), 32.06 deg, rel. 39
- (2 2 0), 33.63 deg, rel. 45
- (1 1 2), 34.59 deg, rel. 100
- (0 3 1), 34.86 deg, rel. 34
- (2 2 1), 36.97 deg, rel. 31

Atomic structure:
a b c (Å): 6.8086 8.5685 5.9365
angles (deg): 90.00 90.00 90.00
Space group Pnma (No. 62)
One atom of each set of equivalent atoms:
Ho1 0.0431 0.2500 0.1260
Sc1 0.1727 0.0659 0.6638
Fe1 0.1104 0.7500 0.4444

12.
Theoretical XRD peak list
Compound: KCaCuS2
Radiation: copper Kα
Structure: the PBE geometry in Alexandria

Principal peaks in the range 5 to 70 degrees two-theta, low angle first:
- (0 2 0), 12.11 deg, rel. 100
- (2 0 0), 23.60 deg, rel. 60
- (1 3 1), 27.79 deg, rel. 82
- (2 0 1), 29.31 deg, rel. 45
- (2 2 1), 31.82 deg, rel. 63
- (2 4 1), 38.47 deg, rel. 53

Atomic structure:
a b c (Å): 7.5389 14.6146 5.1761
angles (deg): 90.00 90.00 90.00
Space group Cmme (No. 67)
One atom of each set of equivalent atoms:
K1 0.0000 0.2500 0.2245
Ca1 0.2500 0.0000 0.5000
Cu1 0.0000 0.0000 0.0000
S1 0.0000 0.1119 0.7322